(1)
Starting from DFT lattice parameters and positions (GGA-PBE), the powder X-ray diffraction pattern of Sm16Y6Ho7 was simulated for Cu Kα, 1.54184 Å.
Neutral-atom scattering factors, no anomalous dispersion.

Largest 8 diffraction maxima, in order of rising 2θ, 10 to 90 degrees two-theta:
29.24°, I = 13; 31.90°, I = 100; 33.40°, I = 9; 37.59°, I = 7; 45.73°, I = 13; 56.84°, I = 25; 66.67°, I = 7; 75.82°, I = 6

Atomic structure:
a b c (Å): 11.2224 11.2224 11.2224
angles (deg): 60.00 60.00 60.00
Atoms (fractional coordinates):
Sm (0.0452, 0.6516, 0.6516)
Sm (0.1234, 0.1234, 0.1234)
Sm (0.1234, 0.1234, 0.6298)
Sm (0.1234, 0.6298, 0.1234)
Sm (0.3484, 0.3484, 0.3484)
Sm (0.3484, 0.3484, 0.9548)
Sm (0.3484, 0.9548, 0.3484)
Sm (0.3702, 0.8766, 0.8766)
Sm (0.6298, 0.1234, 0.1234)
Sm (0.6516, 0.0452, 0.6516)
Sm (0.6516, 0.6516, 0.0452)
Sm (0.6516, 0.6516, 0.6516)
Sm (0.8766, 0.3702, 0.8766)
Sm (0.8766, 0.8766, 0.3702)
Sm (0.8766, 0.8766, 0.8766)
Sm (0.9548, 0.3484, 0.3484)
Y (0.2751, 0.2751, 0.7249)
Y (0.2751, 0.7249, 0.2751)
Y (0.2751, 0.7249, 0.7249)
Y (0.7249, 0.2751, 0.2751)
Y (0.7249, 0.2751, 0.7249)
Y (0.7249, 0.7249, 0.2751)
Ho (0.0000, 0.0000, 0.0000)
Ho (0.0000, 0.0000, 0.5000)
Ho (0.0000, 0.5000, 0.0000)
Ho (0.0000, 0.5000, 0.5000)
Ho (0.5000, 0.0000, 0.0000)
Ho (0.5000, 0.0000, 0.5000)
Ho (0.5000, 0.5000, 0.0000)


(2)
Starting from DFT lattice parameters and positions (GGA-PBE), the powder X-ray diffraction pattern of Sm4YHo was simulated for Cu Kα, 1.54184 Å.
Neutral-atom scattering factors, no anomalous dispersion.

Largest 8 diffraction maxima, in order of rising 2θ, 10 to 90 degrees two-theta:
30.39°, I = 100; 35.20°, I = 34; 35.32°, I = 17; 50.66°, I = 24; 50.76°, I = 12; 60.23°, I = 21; 60.35°, I = 11; 63.22°, I = 9

Atomic structure:
a b c (Å): 3.5976 6.2341 9.5325
angles (deg): 77.41 79.23 73.47
Atoms (fractional coordinates):
Sm (0.1661, 0.0016, 0.1656)
Sm (0.1661, 0.4991, 0.6678)
Sm (0.8339, 0.5009, 0.3322)
Sm (0.8339, 0.9984, 0.8344)
Y (0.5000, 0.0000, 0.5000)
Ho (0.5000, 0.5000, 0.0000)


(3)
Starting from DFT lattice parameters and positions (GGA-PBE), the powder X-ray diffraction pattern of Sm2Y6Ho3 was simulated for Cu Kα, 1.54184 Å.
Neutral-atom scattering factors, no anomalous dispersion.

Largest 8 diffraction maxima, in order of rising 2θ, 10 to 90 degrees two-theta:
24.95°, I = 23; 30.13°, I = 31; 31.51°, I = 50; 31.76°, I = 48; 32.54°, I = 62; 33.15°, I = 100; 33.59°, I = 41; 51.02°, I = 33

Atomic structure:
a b c (Å): 6.0450 10.7055 11.3559
angles (deg): 90.00 90.00 90.00
Atoms (fractional coordinates):
Sm (0.2352, 0.0676, 0.0000)
Sm (0.2648, 0.5676, 0.5000)
Sm (0.7352, 0.4324, 0.5000)
Sm (0.7648, 0.9324, 0.0000)
Y (0.0226, 0.3223, 0.2265)
Y (0.0226, 0.3223, 0.7735)
Y (0.1331, 0.2253, 0.5000)
Y (0.3669, 0.7253, 0.0000)
Y (0.4774, 0.8223, 0.2735)
Y (0.4774, 0.8223, 0.7265)
Y (0.5226, 0.1777, 0.2735)
Y (0.5226, 0.1777, 0.7265)
Y (0.6331, 0.2747, 0.0000)
Y (0.8669, 0.7747, 0.5000)
Y (0.9774, 0.6777, 0.2265)
Y (0.9774, 0.6777, 0.7735)
Ho (0.0000, 0.0000, 0.2940)
Ho (0.0000, 0.0000, 0.7060)
Ho (0.0000, 0.5000, 0.0000)
Ho (0.5000, 0.0000, 0.5000)
Ho (0.5000, 0.5000, 0.2060)
Ho (0.5000, 0.5000, 0.7940)


(4)
Starting from DFT lattice parameters and positions (GGA-PBE), the powder X-ray diffraction pattern of Sm9Y2Ho was simulated for Cu Kα, 1.54184 Å.
Neutral-atom scattering factors, no anomalous dispersion.

Largest 8 diffraction maxima, in order of rising 2θ, 10 to 90 degrees two-theta:
29.75°, I = 20; 31.13°, I = 68; 31.35°, I = 100; 44.77°, I = 25; 55.67°, I = 25; 55.81°, I = 18; 61.79°, I = 29; 79.60°, I = 13

Atomic structure:
a b c (Å): 11.4120 11.4120 3.5311
angles (deg): 90.00 90.00 120.00
Atoms (fractional coordinates):
Sm (0.0000, 0.5000, 0.0000)
Sm (0.1739, 0.3479, 0.5000)
Sm (0.1739, 0.8261, 0.5000)
Sm (0.3479, 0.1739, 0.5000)
Sm (0.5000, 0.0000, 0.0000)
Sm (0.5000, 0.5000, 0.0000)
Sm (0.6521, 0.8261, 0.5000)
Sm (0.8261, 0.1739, 0.5000)
Sm (0.8261, 0.6521, 0.5000)
Y (0.3333, 0.6667, 0.0000)
Y (0.6667, 0.3333, 0.0000)
Ho (0.0000, 0.0000, 0.0000)